[1]
For CrN2, a structure optimized by DFT (PBE) gives the theoretical PXRD pattern in this record (Cu Kα (λ = 1.5418 Å)).
Lines closer than 0.1° are merged.

Main lines, by angle (2θ from 10° to 80°):
| index | 2theta | I (rel.) |
| --- | --- | --- |
| 0 0 1 | 12.99 | 26.5 |
| 0 1 0 | 16.76 | 100.0 |
| 0 1 1 | 17.49 | 31.0 |
| 1 0 1 | 18.71 | 39.5 |
| 1 -1 0 | 23.75 | 21.7 |
| 1 0 -1 | 24.68 | 28.2 |
| -1 1 1 | 26.82 | 11.0 |
| 1 1 2 | 27.52 | 55.7 |
| 1 1 -1 | 32.87 | 19.4 |
| -1 1 2 | 35.09 | 12.1 |
| 2 0 0 | 35.52 | 12.1 |
| 1 2 2 | 36.97 | 10.4 |

Structural model:
a b c (Å): 5.2709 5.6174 7.5252
angles (deg): 70.57 73.78 87.18
Fractional coordinates of all 12 atoms:
Cr  0.0000  0.0000  0.0000
Cr  0.0090  0.6204  0.7215
Cr  0.3929  0.9004  0.3059
Cr  0.4599  0.9628  0.6578
N  0.1381  0.8196  0.8336
N  0.1837  0.9982  0.1581
N  0.2385  0.6329  0.5006
N  0.4595  0.1149  0.3985
N  0.5306  0.1789  0.7287
N  0.7092  0.8611  0.1471
N  0.7264  0.7570  0.6891
N  0.9513  0.3174  0.8803

[2]
For Tm3Ru2, a structure optimized by DFT (PBE) gives the theoretical PXRD pattern in this record (Cu Kα (λ = 1.5418 Å)).
Lines closer than 0.1° are merged.

Main lines, by angle (2θ from 10° to 80°):
| index | 2theta | I (rel.) |
| --- | --- | --- |
| 1 1 1 | 30.50 | 100.0 |
| 2 0 1 | 33.52 | 51.7 |
| 2 1 0 | 36.44 | 48.1 |
| 0 0 2 | 38.58 | 17.7 |
| 1 0 2 | 41.08 | 12.9 |
| 1 2 1 | 41.42 | 24.3 |
| 3 0 0 | 41.53 | 34.5 |
| 1 1 2 | 45.74 | 10.2 |
| 1 2 2 | 54.12 | 25.0 |
| 1 1 3 | 64.85 | 11.7 |
| 1 3 2 | 65.26 | 10.9 |
| 3 2 1 | 65.52 | 31.0 |

Structural model:
a b c (Å): 7.5317 7.5317 4.6669
angles (deg): 90.00 90.00 120.00
Fractional coordinates of all 10 atoms:
Tm  0.0808  0.6944  0.2500
Tm  0.3056  0.3864  0.2500
Tm  0.3864  0.0808  0.7500
Tm  0.6136  0.9192  0.2500
Tm  0.6944  0.6136  0.7500
Tm  0.9192  0.3056  0.7500
Ru  0.0000  0.0000  0.0000
Ru  0.0000  0.0000  0.5000
Ru  0.3333  0.6667  0.7500
Ru  0.6667  0.3333  0.2500

[3]
For SrAg2C4N4O2, a structure optimized by DFT (PBE) gives the theoretical PXRD pattern in this record (Cu Kα (λ = 1.5418 Å)).
Lines closer than 0.1° are merged.

Main lines, by angle (2θ from 10° to 80°):
| index | 2theta | I (rel.) |
| --- | --- | --- |
| 1 0 2 | 14.36 | 29.8 |
| 1 1 2 | 19.00 | 80.0 |
| 0 0 4 | 19.19 | 73.6 |
| 2 0 2 | 23.55 | 34.2 |
| 2 1 2 | 26.69 | 73.2 |
| 1 2 0 | 27.15 | 51.2 |
| 1 2 2 | 28.84 | 46.5 |
| 1 2 4 | 33.46 | 100.0 |
| 3 0 4 | 37.98 | 30.4 |
| 2 1 6 | 38.53 | 34.0 |
| 1 2 8 | 48.12 | 24.7 |
| 0 4 4 | 55.00 | 32.9 |

Structural model:
a b c (Å): 8.2757 7.1565 18.5008
angles (deg): 90.00 90.00 90.00
Fractional coordinates of all 52 atoms:
Sr  0.1466  0.2334  0.2500
Sr  0.1466  0.2666  0.7500
Sr  0.8534  0.7334  0.2500
Sr  0.8534  0.7666  0.7500
Ag  0.1119  0.7500  0.0000
Ag  0.1119  0.7500  0.5000
Ag  0.5000  0.0000  0.0000
Ag  0.5000  0.0000  0.5000
Ag  0.5000  0.5000  0.0000
Ag  0.5000  0.5000  0.5000
Ag  0.8881  0.2500  0.0000
Ag  0.8881  0.2500  0.5000
C  0.0992  0.6213  0.5995
C  0.0992  0.6213  0.9005
C  0.0992  0.8787  0.0995
C  0.0992  0.8787  0.4005
C  0.3981  0.1092  0.5912
C  0.3981  0.1092  0.9088
C  0.3981  0.3908  0.0912
C  0.3981  0.3908  0.4088
C  0.6019  0.6092  0.5912
C  0.6019  0.6092  0.9088
C  0.6019  0.8908  0.0912
C  0.6019  0.8908  0.4088
C  0.9008  0.1213  0.5995
C  0.9008  0.1213  0.9005
C  0.9008  0.3787  0.0995
C  0.9008  0.3787  0.4005
N  0.0812  0.5519  0.6563
N  0.0812  0.5519  0.8437
N  0.0812  0.9481  0.1563
N  0.0812  0.9481  0.3437
N  0.3350  0.1698  0.6428
N  0.3350  0.1698  0.8572
N  0.3350  0.3302  0.1428
N  0.3350  0.3302  0.3572
N  0.6650  0.6698  0.6428
N  0.6650  0.6698  0.8572
N  0.6650  0.8302  0.1428
N  0.6650  0.8302  0.3572
N  0.9188  0.0519  0.6563
N  0.9188  0.0519  0.8437
N  0.9188  0.4481  0.1563
N  0.9188  0.4481  0.3437
O  0.1598  0.6001  0.2500
O  0.1598  0.8999  0.7500
O  0.3908  0.5140  0.7500
O  0.3908  0.9860  0.2500
O  0.6092  0.0140  0.7500
O  0.6092  0.4860  0.2500
O  0.8402  0.1001  0.2500
O  0.8402  0.3999  0.7500

[4]
For RuRh3, a structure optimized by DFT (PBE) gives the theoretical PXRD pattern in this record (Cu Kα (λ = 1.5418 Å)).
Lines closer than 0.1° are merged.

Main lines, by angle (2θ from 10° to 80°):
| index | 2theta | I (rel.) |
| --- | --- | --- |
| 1 1 1 | 40.67 | 100.0 |
| 2 0 0 | 47.32 | 48.2 |
| 2 2 0 | 69.15 | 30.1 |

Structural model:
a b c (Å): 3.8423 3.8423 3.8423
angles (deg): 90.00 90.00 90.00
Fractional coordinates of all 4 atoms:
Ru  0.0000  0.0000  0.0000
Rh  0.0000  0.5000  0.5000
Rh  0.5000  0.0000  0.5000
Rh  0.5000  0.5000  0.0000